For La4Tb3ThSe8, DFT lattice parameters and positions (PBE) gives the simulated X-ray powder pattern in this record (Cu Kα).
No peak broadening, texture or thermal motion is included.

Crystal structure
```
La4Tb3ThSe8
1.0
4.211 2.431 6.918
-4.211 2.431 6.918
0.000 -4.862 6.918
La Tb Th Se
4 3 1 8
Cartesian
0.000 0.000 0.000
-2.105 -1.215 6.918
-2.105 1.215 13.836
0.000 2.431 6.918
-4.211 0.000 10.377
-2.105 1.215 3.459
2.105 1.215 3.459
0.000 0.000 10.377
-2.139 -1.235 12.012
0.000 0.000 5.069
0.000 -2.470 8.743
-2.139 1.235 8.743
2.139 -1.235 12.012
0.000 2.470 12.012
0.000 0.000 15.686
2.139 1.235 8.743
```

Peak list (6 most intense, 10° ≤ 2θ ≤ 90°, in order of rising 2θ)
two_theta, d (Å), I/Imax
29.95, 2.983, 100
42.78, 2.114, 37
42.96, 2.105, 37
53.25, 1.720, 20
70.46, 1.336, 16
70.73, 1.332, 17